# PaAl2Se6
Calculated XRD peak list, Cu Kα, 1.54184 Å. Input: a cell relaxed with PBE.
Intensities are scaled so that the largest is 100.

The 8 most intense peaks (2θ from 15° to 90°), sorted by position:
2θ (°)  I/Imax
15.08  48
22.47  30
25.69  42
25.95  37
31.71  100
32.35  39
44.29  47
47.53  32

Atomic structure:
```
data_PaAl2Se6
_chemical_formula_sum 'Pa4 Al8 Se24'
_cell_length_a 12.6167
_cell_length_b 12.1479
_cell_length_c 7.1129
_cell_angle_alpha 90.00
_cell_angle_beta 102.90
_cell_angle_gamma 90.00
_symmetry_space_group_name_H-M 'C 1 2/c 1'
_symmetry_Int_Tables_number 15
loop_
_symmetry_equiv_pos_as_xyz
'x,y,z'
'-x,-y,-z'
'-x,y,-z+1/2'
'x,-y,z+1/2'
'x+1/2,y+1/2,z'
'-x+1/2,-y+1/2,-z'
'-x+1/2,y+1/2,-z+1/2'
'x+1/2,-y+1/2,z+1/2'
loop_
_atom_site_label
_atom_site_type_symbol
_atom_site_fract_x
_atom_site_fract_y
_atom_site_fract_z
_atom_site_occupancy
Pa1 Pa 0.0000 0.1061 0.2500 1
Al1 Al 0.1805 0.4240 0.3034 1
Se1 Se 0.1029 0.4292 0.5863 1
Se2 Se 0.1204 0.0719 0.6318 1
Se3 Se 0.1489 0.2439 0.1654 1
```

=====

# Pa4AlSe7
Calculated XRD peak list, Cu Kα, 1.54184 Å. Input: a cell relaxed with PBE.
Intensities are scaled so that the largest is 100.

The 8 most intense peaks (2θ from 15° to 90°), sorted by position:
2θ (°)  I/Imax
29.23  100
33.54  26
36.09  24
38.86  23
44.60  39
44.91  18
48.16  16
54.22  18

Atomic structure:
```
data_Pa4AlSe7
_chemical_formula_sum 'Pa4 Al1 Se7'
_cell_length_a 4.0635
_cell_length_b 4.0635
_cell_length_c 24.6362
_cell_angle_alpha 90.00
_cell_angle_beta 90.00
_cell_angle_gamma 120.00
_symmetry_space_group_name_H-M 'P -3 m 1'
_symmetry_Int_Tables_number 164
_symmetry_space_group_name_Hall '-P 3 2"'
loop_
_atom_site_label
_atom_site_type_symbol
_atom_site_fract_x
_atom_site_fract_y
_atom_site_fract_z
_atom_site_occupancy
Pa1 Pa 0.3333 0.6667 0.1535 1
Pa2 Pa 0.3333 0.6667 0.4338 1
Al1 Al 0.0000 0.0000 0.0000 1
Se1 Se 0.0000 0.0000 0.2184 1
Se2 Se 0.0000 0.0000 0.5000 1
Se3 Se 0.3333 0.6667 0.6321 1
Se4 Se 0.3333 0.6667 0.9191 1
```

=====

# Pa2Al3Si4
Calculated XRD peak list, Cu Kα, 1.54184 Å. Input: a cell relaxed with PBE.
Intensities are scaled so that the largest is 100.

The 8 most intense peaks (2θ from 15° to 90°), sorted by position:
2θ (°)  I/Imax
16.68  41
20.42  100
24.16  34
28.76  35
33.61  58
35.98  34
36.32  76
37.21  53

Atomic structure:
```
data_Pa2Al3Si4
_chemical_formula_sum 'Pa8 Al12 Si16'
_cell_length_a 5.6553
_cell_length_b 14.7324
_cell_length_c 7.6743
_cell_angle_alpha 90.00
_cell_angle_beta 90.00
_cell_angle_gamma 90.00
_symmetry_space_group_name_H-M 'C m c e'
_symmetry_Int_Tables_number 64
_symmetry_space_group_name_Hall '-C 2ac 2'
loop_
_atom_site_label
_atom_site_type_symbol
_atom_site_fract_x
_atom_site_fract_y
_atom_site_fract_z
_atom_site_occupancy
Pa1 Pa 0.0000 0.1120 0.0827 1
Al1 Al 0.0000 0.0000 0.5000 1
Al2 Al 0.2500 0.2135 0.7500 1
Si1 Si 0.0000 0.1818 0.4496 1
Si2 Si 0.2500 0.0443 0.7500 1
```

=====

# SmPaAl6
Calculated XRD peak list, Cu Kα, 1.54184 Å. Input: a cell relaxed with PBE.
Intensities are scaled so that the largest is 100.

The 8 most intense peaks (2θ from 15° to 90°), sorted by position:
2θ (°)  I/Imax
16.14  35
25.21  100
28.14  48
32.61  22
38.14  84
48.06  28
48.82  22
64.41  18

Atomic structure:
```
data_SmPaAl6
_chemical_formula_sum 'Sm1 Pa1 Al6'
_cell_length_a 6.3420
_cell_length_b 6.3420
_cell_length_c 4.6140
_cell_angle_alpha 90.00
_cell_angle_beta 90.00
_cell_angle_gamma 120.00
_symmetry_space_group_name_H-M 'P -6 m 2'
_symmetry_Int_Tables_number 187
_symmetry_space_group_name_Hall 'P -6 2'
loop_
_atom_site_label
_atom_site_type_symbol
_atom_site_fract_x
_atom_site_fract_y
_atom_site_fract_z
_atom_site_occupancy
Sm1 Sm 0.0000 0.0000 0.0000 1
Pa1 Pa 0.3333 0.6667 0.5000 1
Al1 Al 0.3765 0.1882 0.5000 1
Al2 Al 0.5205 0.0410 0.0000 1
```

=====

# Pa2AlSn2
Calculated XRD peak list, Cu Kα, 1.54184 Å. Input: a cell relaxed with PBE.
Intensities are scaled so that the largest is 100.

The 8 most intense peaks (2θ from 15° to 90°), sorted by position:
2θ (°)  I/Imax
22.54  25
30.06  100
35.45  32
37.56  78
41.48  17
48.84  27
63.19  25
70.89  21

Atomic structure:
```
data_Pa2AlSn2
_chemical_formula_sum 'Pa4 Al2 Sn4'
_cell_length_a 4.7896
_cell_length_b 4.7896
_cell_length_c 12.7867
_cell_angle_alpha 90.00
_cell_angle_beta 90.00
_cell_angle_gamma 120.00
_symmetry_space_group_name_H-M 'P 63/m m c'
_symmetry_Int_Tables_number 194
_symmetry_space_group_name_Hall '-P 6c 2c'
loop_
_atom_site_label
_atom_site_type_symbol
_atom_site_fract_x
_atom_site_fract_y
_atom_site_fract_z
_atom_site_occupancy
Pa1 Pa 0.3333 0.6667 0.1140 1
Al1 Al 0.0000 0.0000 0.2500 1
Sn1 Sn 0.0000 0.0000 0.0000 1
Sn2 Sn 0.3333 0.6667 0.7500 1
```

=====

# Pa5AlTc4
Calculated XRD peak list, Cu Kα, 1.54184 Å. Input: a cell relaxed with PBE.
Intensities are scaled so that the largest is 100.

The 8 most intense peaks (2θ from 15° to 90°), sorted by position:
2θ (°)  I/Imax
22.93  32
25.09  59
31.79  58
33.37  82
34.19  100
35.25  34
40.87  69
46.84  26

Atomic structure:
```
data_Pa5AlTc4
_chemical_formula_sum 'Pa10 Al2 Tc8'
_cell_length_a 7.7579
_cell_length_b 8.1801
_cell_length_c 7.1209
_cell_angle_alpha 90.00
_cell_angle_beta 90.00
_cell_angle_gamma 90.00
_symmetry_space_group_name_H-M 'P m m n'
_symmetry_Int_Tables_number 59
loop_
_symmetry_equiv_pos_as_xyz
'x,y,z'
'-x,-y,-z'
'-x+1/2,-y+1/2,z'
'x+1/2,y+1/2,-z'
'x+1/2,-y,-z'
'-x+1/2,y,z'
'-x,y+1/2,-z'
'x,-y+1/2,z'
loop_
_atom_site_label
_atom_site_type_symbol
_atom_site_fract_x
_atom_site_fract_y
_atom_site_fract_z
_atom_site_occupancy
Pa1 Pa 0.0048 0.0373 0.2427 1
Pa2 Pa 0.2500 0.2500 0.5698 1
Al1 Al 0.2500 0.7500 0.0738 1
Tc1 Tc 0.0746 0.7500 0.4657 1
Tc2 Tc 0.2500 0.0692 0.9764 1
```

=====

# Pa3AlTc4
Calculated XRD peak list, Cu Kα, 1.54184 Å. Input: a cell relaxed with PBE.
Intensities are scaled so that the largest is 100.

The 8 most intense peaks (2θ from 15° to 90°), sorted by position:
2θ (°)  I/Imax
29.82  27
31.63  32
32.17  100
35.99  30
36.49  59
46.99  24
51.77  25
56.66  24

Atomic structure:
```
data_Pa3AlTc4
_chemical_formula_sum 'Pa6 Al2 Tc8'
_cell_length_a 5.6580
_cell_length_b 6.9397
_cell_length_c 8.2060
_cell_angle_alpha 90.00
_cell_angle_beta 90.00
_cell_angle_gamma 90.00
_symmetry_space_group_name_H-M 'I m m 2'
_symmetry_Int_Tables_number 44
loop_
_symmetry_equiv_pos_as_xyz
'x,y,z'
'-x,-y,z'
'-x,y,z'
'x,-y,z'
'x+1/2,y+1/2,z+1/2'
'-x+1/2,-y+1/2,z+1/2'
'-x+1/2,y+1/2,z+1/2'
'x+1/2,-y+1/2,z+1/2'
loop_
_atom_site_label
_atom_site_type_symbol
_atom_site_fract_x
_atom_site_fract_y
_atom_site_fract_z
_atom_site_occupancy
Pa1 Pa 0.0000 0.0000 0.0000 1
Pa2 Pa 0.0000 0.2219 0.6175 1
Al1 Al 0.0000 0.5000 0.0424 1
Tc1 Tc 0.0000 0.3214 0.3127 1
Tc2 Tc 0.2497 0.0000 0.2876 1
```

=====

# ThPa3Al8
Calculated XRD peak list, Cu Kα, 1.54184 Å. Input: a cell relaxed with PBE.
Intensities are scaled so that the largest is 100.

The 8 most intense peaks (2θ from 15° to 90°), sorted by position:
2θ (°)  I/Imax
18.36  51
20.88  56
32.09  79
35.28  100
37.98  44
38.60  31
48.43  25
59.28  45

Atomic structure:
```
data_ThPa3Al8
_chemical_formula_sum 'Th1 Pa3 Al8'
_cell_length_a 5.5790
_cell_length_b 5.5790
_cell_length_c 8.9761
_cell_angle_alpha 90.00
_cell_angle_beta 90.00
_cell_angle_gamma 120.00
_symmetry_space_group_name_H-M 'P 3 m 1'
_symmetry_Int_Tables_number 156
loop_
_symmetry_equiv_pos_as_xyz
'x,y,z'
'-y,x-y,z'
'-x+y,-x,z'
'-y,-x,z'
'-x+y,y,z'
'x,x-y,z'
loop_
_atom_site_label
_atom_site_type_symbol
_atom_site_fract_x
_atom_site_fract_y
_atom_site_fract_z
_atom_site_occupancy
Th1 Th 0.0000 0.0000 0.0000 1
Pa1 Pa 0.0000 0.0000 0.3613 1
Pa2 Pa 0.6667 0.3333 0.5136 1
Pa3 Pa 0.6667 0.3333 0.8356 1
Al1 Al 0.1620 0.3240 0.6747 1
Al2 Al 0.3333 0.6667 0.4286 1
Al3 Al 0.3333 0.6667 0.9255 1
Al4 Al 0.5050 0.0100 0.1819 1
```

=====

Copy entry 6 word for word.
# Pa5AlTc4
Calculated XRD peak list, Cu Kα, 1.54184 Å. Input: a cell relaxed with PBE.
Intensities are scaled so that the largest is 100.

The 8 most intense peaks (2θ from 15° to 90°), sorted by position:
2θ (°)  I/Imax
22.93  32
25.09  59
31.79  58
33.37  82
34.19  100
35.25  34
40.87  69
46.84  26

Atomic structure:
```
data_Pa5AlTc4
_chemical_formula_sum 'Pa10 Al2 Tc8'
_cell_length_a 7.7579
_cell_length_b 8.1801
_cell_length_c 7.1209
_cell_angle_alpha 90.00
_cell_angle_beta 90.00
_cell_angle_gamma 90.00
_symmetry_space_group_name_H-M 'P m m n'
_symmetry_Int_Tables_number 59
loop_
_symmetry_equiv_pos_as_xyz
'x,y,z'
'-x,-y,-z'
'-x+1/2,-y+1/2,z'
'x+1/2,y+1/2,-z'
'x+1/2,-y,-z'
'-x+1/2,y,z'
'-x,y+1/2,-z'
'x,-y+1/2,z'
loop_
_atom_site_label
_atom_site_type_symbol
_atom_site_fract_x
_atom_site_fract_y
_atom_site_fract_z
_atom_site_occupancy
Pa1 Pa 0.0048 0.0373 0.2427 1
Pa2 Pa 0.2500 0.2500 0.5698 1
Al1 Al 0.2500 0.7500 0.0738 1
Tc1 Tc 0.0746 0.7500 0.4657 1
Tc2 Tc 0.2500 0.0692 0.9764 1
```